(1)
Starting from a crystal structure in Alexandria, relaxed with GGA-PBE, the powder diffractogram of MnZn2Hg2 was simulated for Cu Kα X-rays.

Atomic structure:
```
data_MnZn2Hg2
_chemical_formula_sum 'Mn2 Zn4 Hg4'
_symmetry_space_group_name_H-M 'I 4/m m m'
_symmetry_Int_Tables_number 139
_symmetry_space_group_name_Hall '-I 4 2'
_cell_length_a 3.572
_cell_length_b 3.572
_cell_length_c 15.248
_cell_angle_alpha 90.00
_cell_angle_beta 90.00
_cell_angle_gamma 90.00
loop_
_atom_site_label
_atom_site_type_symbol
_atom_site_fract_x
_atom_site_fract_y
_atom_site_fract_z
Mn1 Mn 0.000 0.000 0.000
Zn1 Zn 0.000 0.500 0.250
Hg1 Hg 0.000 0.000 0.399
```

Peak list (10 most intense, 15° ≤ 2θ ≤ 90°, by angle)
| d [Å] | 2θ/deg | intensity | h k l |
| --- | --- | --- | --- |
| 3.478 | 25.61 | 98 | 1 0 1 |
| 2.922 | 30.59 | 31 | 1 0 3 |
| 2.541 | 35.32 | 25 | 0 0 6 |
| 2.526 | 35.54 | 30 | 1 1 0 |
| 2.398 | 37.51 | 53 | 1 1 2 |
| 2.319 | 38.83 | 100 | 1 0 5 |
| 2.105 | 42.96 | 63 | 1 1 4 |
| 1.786 | 51.15 | 39 | 2 0 0 |
| 1.415 | 66.02 | 42 | 2 1 5 |
| 1.305 | 72.40 | 27 | 1 1 10 |



(2)
Starting from a crystal structure in Alexandria, relaxed with GGA-PBE, the powder diffractogram of Zr4MnHg was simulated for Cu Kα X-rays.

Atomic structure:
```
data_Zr4MnHg
_chemical_formula_sum 'Zr16 Mn4 Hg4'
_symmetry_space_group_name_H-M 'F -4 3 m'
_symmetry_Int_Tables_number 216
_symmetry_space_group_name_Hall 'F -4 2 3'
_cell_length_a 8.106
_cell_length_b 8.106
_cell_length_c 8.106
_cell_angle_alpha 90.00
_cell_angle_beta 90.00
_cell_angle_gamma 90.00
loop_
_atom_site_label
_atom_site_type_symbol
_atom_site_fract_x
_atom_site_fract_y
_atom_site_fract_z
Zr1 Zr 0.124 0.124 0.376
Mn1 Mn 0.250 0.250 0.750
Hg1 Hg 0.000 0.000 0.000
```

Peak list (10 most intense, 15° ≤ 2θ ≤ 90°, by angle)
| d [Å] | 2θ/deg | intensity | h k l |
| --- | --- | --- | --- |
| 4.680 | 18.96 | 11 | 1 1 1 |
| 4.053 | 21.93 | 13 | 2 0 0 |
| 2.866 | 31.21 | 35 | 2 2 0 |
| 2.444 | 36.77 | 100 | 3 1 1 |
| 2.340 | 38.47 | 32 | 2 2 2 |
| 1.655 | 55.54 | 14 | 4 2 2 |
| 1.560 | 59.23 | 33 | 5 1 1 |
| 1.433 | 65.10 | 25 | 4 4 0 |
| 1.236 | 77.17 | 11 | 5 3 3 |
| 1.222 | 78.23 | 12 | 6 2 2 |



(3)
Starting from a crystal structure in Alexandria, relaxed with GGA-PBE, the powder diffractogram of HgMo was simulated for Cu Kα X-rays.

Atomic structure:
```
data_HgMo
_chemical_formula_sum 'Hg6 Mo6'
_symmetry_space_group_name_H-M 'A m m 2'
_symmetry_Int_Tables_number 38
_symmetry_space_group_name_Hall 'A 2 -2'
_cell_length_a 4.761
_cell_length_b 2.867
_cell_length_c 16.038
_cell_angle_alpha 90.00
_cell_angle_beta 90.00
_cell_angle_gamma 90.00
loop_
_atom_site_label
_atom_site_type_symbol
_atom_site_fract_x
_atom_site_fract_y
_atom_site_fract_z
Hg1 Hg 0.000 0.000 0.000
Hg2 Hg 0.000 0.000 0.328
Hg3 Hg 0.500 0.000 0.105
Mo1 Mo 0.000 0.000 0.672
Mo2 Mo 0.500 0.000 0.428
Mo3 Mo 0.500 0.000 0.766
```

Peak list (10 most intense, 15° ≤ 2θ ≤ 90°, by angle)
| d [Å] | 2θ/deg | intensity | h k l |
| --- | --- | --- | --- |
| 4.094 | 21.71 | 14 | 1 0 2 |
| 2.527 | 35.53 | 36 | 0 1 3 |
| 2.381 | 37.79 | 45 | 2 0 0 |
| 2.331 | 38.63 | 73 | 1 0 6 |
| 2.232 | 40.41 | 100 | 1 1 3 |
| 1.733 | 52.84 | 23 | 2 1 3 |
| 1.514 | 61.24 | 19 | 0 1 9 |
| 1.344 | 70.00 | 20 | 3 1 3 |
| 1.277 | 74.25 | 22 | 2 1 9 |
| 1.221 | 78.29 | 19 | 1 2 6 |



(4)
Starting from a crystal structure in Alexandria, relaxed with GGA-PBE, the powder diffractogram of Hg8Mo was simulated for Cu Kα X-rays.

Atomic structure:
```
data_Hg8Mo
_chemical_formula_sum 'Hg16 Mo2'
_symmetry_space_group_name_H-M 'I 4/m m m'
_symmetry_Int_Tables_number 139
_symmetry_space_group_name_Hall '-I 4 2'
_cell_length_a 9.966
_cell_length_b 9.966
_cell_length_c 4.239
_cell_angle_alpha 90.00
_cell_angle_beta 90.00
_cell_angle_gamma 90.00
loop_
_atom_site_label
_atom_site_type_symbol
_atom_site_fract_x
_atom_site_fract_y
_atom_site_fract_z
Hg1 Hg 0.000 0.330 0.000
Hg2 Hg 0.161 0.161 0.500
Mo1 Mo 0.000 0.000 0.000
```

Peak list (10 most intense, 15° ≤ 2θ ≤ 90°, by angle)
| d [Å] | 2θ/deg | intensity | h k l |
| --- | --- | --- | --- |
| 3.072 | 29.07 | 2 | 2 1 1 |
| 2.615 | 34.30 | 100 | 3 0 1 |
| 2.349 | 38.32 | 37 | 3 3 0 |
| 2.119 | 42.66 | 14 | 0 0 2 |
| 1.661 | 55.31 | 13 | 6 0 0 |
| 1.574 | 58.67 | 22 | 3 3 2 |
| 1.402 | 66.71 | 29 | 6 3 1 |
| 1.307 | 72.27 | 12 | 6 0 2 |
| 1.300 | 72.73 | 12 | 3 0 3 |
| 1.174 | 82.05 | 4 | 6 6 0 |